Diffraction record for Eu2Ga2GeS7. The X-ray powder pattern is theoretical, not measured: it uses the GGA-PBE geometry in the Materials Project and Cu Kα (λ = 1.5418 Å).

Largest 12 diffraction maxima, most intense first, 2θ = 5–70°:
2theta, Rel. int., hkl
24.86, 100.0, 2 1 1
40.91, 45.9, 3 1 2
29.13, 23.9, 3 1 0
47.78, 20.7, 2 1 3
52.86, 20.3, 5 2 1
19.04, 18.4, 1 1 1
23.08, 14.5, 2 0 1
39.43, 13.0, 3 3 0
35.01, 12.4, 2 1 2
37.09, 12.0, 4 0 0
68.39, 10.6, 5 2 3
31.04, 9.6, 3 0 1

Structure:
abc: 9.695 9.695 6.356
angles: 90.00 90.00 90.00
Space group P-42_1m (No. 113)
One atom of each set of equivalent atoms:
Eu1 0.153 0.347 0.017 x4
Ga1 0.147 0.647 0.530 x4
Ge1 0.000 0.000 0.500 x2
S1 0.000 0.500 0.702 x2
S2 0.081 0.841 0.726 x8
S3 0.145 0.645 0.184 x4

=====

Diffraction record for EuGa8Ir2. The X-ray powder pattern is theoretical, not measured: it uses the GGA-PBE geometry in the Materials Project and Cu Kα (λ = 1.5418 Å).

Largest 12 diffraction maxima, most intense first, 2θ = 5–70°:
2theta, Rel. int., hkl
43.38, 100.0, 0 0 2
43.26, 75.0, 5 4 0
35.29, 70.7, 3 3 1
33.24, 54.5, 1 4 1
21.80, 37.0, 3 1 0
45.51, 30.1, 2 7 0
21.28, 26.6, 0 0 1
22.91, 23.2, 2 3 0
42.81, 22.3, 0 6 1
64.65, 20.9, 2 7 2
36.01, 20.1, 4 1 1
62.89, 19.7, 5 4 2

Structure:
abc: 12.730 14.692 4.175
angles: 90.00 90.00 90.00
Space group Pbam (No. 55)
One atom of each set of equivalent atoms:
Eu1 0.157 0.180 0.000 x4
Ga1 0.000 0.000 0.000 x2
Ga2 0.000 0.500 0.500 x2
Ga3 0.020 0.867 0.500 x4
Ga4 0.051 0.315 0.500 x4
Ga5 0.101 0.749 0.000 x4
Ga6 0.159 0.456 0.000 x4
Ga7 0.168 0.624 0.500 x4
Ga8 0.170 0.013 0.500 x4
Ga9 0.242 0.823 0.500 x4
Ir1 0.036 0.597 0.000 x4
Ir2 0.156 0.905 0.000 x4